No. 1
Structure and theoretical powder diffractogram of NaSm (a DFT-relaxed cell (PBE, Alexandria); Cu Ka).

Crystal structure
```
data_NaSm
_space_group_name_H-M_alt 'P -3 m 1'
_space_group_IT_number 164
_space_group_name_Hall '-P 3 2"'
_cell_length_a 3.6327
_cell_length_b 3.6327
_cell_length_c 12.2545
_cell_angle_alpha 90.00
_cell_angle_beta 90.00
_cell_angle_gamma 120.00
loop_
_atom_site_label
_atom_site_fract_x
_atom_site_fract_y
_atom_site_fract_z
Na1 0.3333 0.6667 0.1294
Sm1 0.3333 0.6667 0.6157
```

Peak list (10 most intense, 2θ from 10° to 90°, most intense first)
hkl 1 0 2, 31.98°, intensity 100; hkl 1 0 1, 29.31°, intensity 40; hkl 0 1 3, 36.03°, intensity 31; hkl 1 1 4, 59.15°, intensity 27; hkl 0 0 4, 29.15°, intensity 27; hkl 1 0 0, 28.37°, intensity 23; hkl 1 0 6, 53.49°, intensity 21; hkl 1 1 0, 50.23°, intensity 19; hkl 0 1 4, 41.13°, intensity 18; hkl 0 2 2, 60.79°, intensity 16

***

No. 2
Structure and theoretical powder diffractogram of NaSm6Te8 (a DFT-relaxed cell (PBE, Alexandria); Cu Ka).

Crystal structure
```
data_NaSm6Te8
_space_group_name_H-M_alt 'F m -3 m'
_space_group_IT_number 225
_space_group_name_Hall '-F 4 2 3'
_cell_length_a 12.5442
_cell_length_b 12.5442
_cell_length_c 12.5442
_cell_angle_alpha 90.00
_cell_angle_beta 90.00
_cell_angle_gamma 90.00
loop_
_atom_site_label
_atom_site_fract_x
_atom_site_fract_y
_atom_site_fract_z
Na1 0.0000 0.0000 0.0000
Sm1 0.0000 0.2500 0.2500
Te1 0.0000 0.0000 0.2556
Te2 0.2500 0.2500 0.2500
```

Peak list (10 most intense, 2θ from 10° to 90°, most intense first)
hkl 4 0 0, 28.46°, intensity 100; hkl 4 4 0, 40.69°, intensity 76; hkl 8 4 0, 66.69°, intensity 35; hkl 4 4 4, 50.40°, intensity 27; hkl 8 4 4, 74.05°, intensity 25; hkl 8 0 0, 58.90°, intensity 13; hkl 2 0 0, 14.12°, intensity 11; hkl 2 2 0, 20.02°, intensity 10; hkl 8 8 0, 88.10°, intensity 8; hkl 4 2 0, 31.91°, intensity 6

***

No. 3
Structure and theoretical powder diffractogram of Na3Sm4Te8 (a DFT-relaxed cell (PBE, Alexandria); Cu Ka).

Crystal structure
```
data_Na3Sm4Te8
_space_group_name_H-M_alt 'C 1 2/m 1'
_space_group_IT_number 12
_cell_length_a 12.5797
_cell_length_b 12.7489
_cell_length_c 8.8873
_cell_angle_alpha 90.00
_cell_angle_beta 134.18
_cell_angle_gamma 90.00
loop_
_space_group_symop_operation_xyz
'x,y,z'
'-x,-y,-z'
'-x,y,-z'
'x,-y,z'
'x+1/2,y+1/2,z'
'-x+1/2,-y+1/2,-z'
'-x+1/2,y+1/2,-z'
'x+1/2,-y+1/2,z'
loop_
_atom_site_label
_atom_site_fract_x
_atom_site_fract_y
_atom_site_fract_z
Na1 0.0000 0.0000 0.0000
Na2 0.2500 0.2500 0.0000
Sm1 0.0000 0.5000 0.0000
Sm2 0.0000 0.5000 0.5000
Sm3 0.2500 0.2500 0.5000
Te1 0.0000 0.2532 0.0000
Te2 0.0000 0.2528 0.5000
Te3 0.2393 0.5000 0.9871
Te4 0.2487 0.0000 0.5051
```

Peak list (10 most intense, 2θ from 10° to 90°, most intense first)
hkl 0 4 0, 28.00°, intensity 100; hkl 0 4 2, 40.00°, intensity 57; hkl 4 0 -2, 28.38°, intensity 48; hkl 4 4 -2, 40.29°, intensity 37; hkl 1 1 0, 12.02°, intensity 23; hkl 4 4 0, 49.51°, intensity 20; hkl 4 4 -4, 50.05°, intensity 20; hkl 4 0 -4, 40.61°, intensity 18; hkl 0 8 2, 65.49°, intensity 17; hkl 0 8 0, 57.87°, intensity 13

***

No. 4
Structure and theoretical powder diffractogram of Na3Sm2ThTe6 (a DFT-relaxed cell (PBE, Alexandria); Cu Ka).

Crystal structure
```
data_Na3Sm2ThTe6
_space_group_name_H-M_alt 'C 1 2/m 1'
_space_group_IT_number 12
_cell_length_a 7.7361
_cell_length_b 13.3958
_cell_length_c 8.0639
_cell_angle_alpha 90.00
_cell_angle_beta 108.64
_cell_angle_gamma 90.00
loop_
_space_group_symop_operation_xyz
'x,y,z'
'-x,-y,-z'
'-x,y,-z'
'x,-y,z'
'x+1/2,y+1/2,z'
'-x+1/2,-y+1/2,-z'
'-x+1/2,y+1/2,-z'
'x+1/2,-y+1/2,z'
loop_
_atom_site_label
_atom_site_fract_x
_atom_site_fract_y
_atom_site_fract_z
Na1 0.0000 0.0000 0.0000
Na2 0.0000 0.3327 0.0000
Sm1 0.0000 0.1666 0.5000
Th1 0.0000 0.5000 0.5000
Te1 0.2462 0.3338 0.7403
Te2 0.2479 0.0000 0.7402
```

Peak list (10 most intense, 2θ from 10° to 90°, most intense first)
hkl 1 3 1, 27.83°, intensity 100; hkl 2 0 2, 39.13°, intensity 40; hkl 0 6 0, 40.39°, intensity 37; hkl 0 0 1, 11.58°, intensity 33; hkl 4 0 0, 49.76°, intensity 20; hkl 4 6 0, 65.94°, intensity 19; hkl 3 3 3, 64.16°, intensity 18; hkl 1 3 0, 23.32°, intensity 17; hkl 2 6 2, 57.49°, intensity 13; hkl 5 3 1, 72.60°, intensity 13

***

No. 5
Structure and theoretical powder diffractogram of Na4SmY3Te8 (a DFT-relaxed cell (PBE, Alexandria); Cu Ka).

Crystal structure
```
data_Na4SmY3Te8
_space_group_name_H-M_alt 'R -3 m'
_space_group_IT_number 166
_space_group_name_Hall '-R 3 2"'
_cell_length_a 8.8977
_cell_length_b 8.8977
_cell_length_c 22.7087
_cell_angle_alpha 90.00
_cell_angle_beta 90.00
_cell_angle_gamma 120.00
loop_
_atom_site_label
_atom_site_fract_x
_atom_site_fract_y
_atom_site_fract_z
Na1 0.0000 0.0000 0.0000
Na2 0.0000 0.5000 0.0000
Sm1 0.0000 0.0000 0.5000
Y1 0.0000 0.5000 0.5000
Te1 0.0000 0.0000 0.2439
Te2 0.0038 0.5019 0.7553
```

Peak list (10 most intense, 2θ from 10° to 90°, most intense first)
hkl 0 2 4, 27.99°, intensity 100; hkl 2 0 8, 39.43°, intensity 38; hkl 2 2 0, 40.56°, intensity 37; hkl 0 0 3, 11.69°, intensity 21; hkl 4 0 4, 50.00°, intensity 20; hkl 2 4 4, 66.26°, intensity 17; hkl 2 2 12, 64.67°, intensity 16; hkl 2 0 2, 24.40°, intensity 14; hkl 0 4 8, 57.85°, intensity 12; hkl 4 2 8, 73.02°, intensity 12

***

No. 6
Structure and theoretical powder diffractogram of Na2SmYTe4 (a DFT-relaxed cell (PBE, Alexandria); Cu Ka).

Crystal structure
```
data_Na2SmYTe4
_space_group_name_H-M_alt 'P 1 2/m 1'
_space_group_IT_number 10
_cell_length_a 7.7325
_cell_length_b 4.4658
_cell_length_c 8.0038
_cell_angle_alpha 90.00
_cell_angle_beta 108.81
_cell_angle_gamma 90.00
loop_
_space_group_symop_operation_xyz
'x,y,z'
'-x,-y,-z'
'-x,y,-z'
'x,-y,z'
loop_
_atom_site_label
_atom_site_fract_x
_atom_site_fract_y
_atom_site_fract_z
Na1 0.0000 0.0000 0.0000
Na2 0.5000 0.5000 0.0000
Sm1 0.0000 0.5000 0.5000
Y1 0.5000 0.0000 0.5000
Te1 0.2492 0.0000 0.7355
Te2 0.2594 0.5000 0.2666
```

Peak list (10 most intense, 2θ from 10° to 90°, most intense first)
hkl 1 1 1, 27.91°, intensity 100; hkl 1 1 -3, 39.35°, intensity 38; hkl 0 2 0, 40.40°, intensity 37; hkl 0 0 1, 11.68°, intensity 24; hkl 2 2 -2, 49.82°, intensity 20; hkl 1 3 1, 66.00°, intensity 17; hkl 0 2 4, 64.52°, intensity 16; hkl 2 2 2, 57.67°, intensity 12; hkl 1 3 -3, 72.76°, intensity 12; hkl 1 1 -1, 24.31°, intensity 10

***

No. 7
Structure and theoretical powder diffractogram of NaSmTl3 (a DFT-relaxed cell (PBE, Alexandria); Cu Ka).

Crystal structure
```
data_NaSmTl3
_space_group_name_H-M_alt 'C 1 2/m 1'
_space_group_IT_number 12
_cell_length_a 17.3985
_cell_length_b 6.4374
_cell_length_c 5.8503
_cell_angle_alpha 90.00
_cell_angle_beta 109.51
_cell_angle_gamma 90.00
loop_
_space_group_symop_operation_xyz
'x,y,z'
'-x,-y,-z'
'-x,y,-z'
'x,-y,z'
'x+1/2,y+1/2,z'
'-x+1/2,-y+1/2,-z'
'-x+1/2,y+1/2,-z'
'x+1/2,-y+1/2,z'
loop_
_atom_site_label
_atom_site_fract_x
_atom_site_fract_y
_atom_site_fract_z
Na1 0.1534 0.0000 0.4040
Sm1 0.0638 0.5000 0.8140
Tl1 0.0428 0.0000 0.7926
Tl2 0.1421 0.5000 0.3913
Tl3 0.2401 0.0000 0.9911
```

Peak list (10 most intense, 2θ from 10° to 90°, most intense first)
hkl 4 0 1, 31.26°, intensity 100; hkl 4 2 1, 42.26°, intensity 89; hkl 0 2 0, 27.72°, intensity 75; hkl 2 0 -2, 30.57°, intensity 68; hkl 2 2 -2, 41.73°, intensity 50; hkl 3 1 -1, 23.23°, intensity 28; hkl 4 4 1, 66.68°, intensity 23; hkl 3 1 0, 21.32°, intensity 19; hkl 4 0 -4, 63.66°, intensity 17; hkl 0 0 1, 16.09°, intensity 16

***

No. 8
Structure and theoretical powder diffractogram of Na2Sm2Tl3 (a DFT-relaxed cell (PBE, Alexandria); Cu Ka).

Crystal structure
```
data_Na2Sm2Tl3
_space_group_name_H-M_alt 'C m m m'
_space_group_IT_number 65
_space_group_name_Hall '-C 2 2'
_cell_length_a 3.8740
_cell_length_b 29.5520
_cell_length_c 3.7479
_cell_angle_alpha 90.00
_cell_angle_beta 90.00
_cell_angle_gamma 90.00
loop_
_atom_site_label
_atom_site_fract_x
_atom_site_fract_y
_atom_site_fract_z
Na1 0.0000 0.1986 0.0000
Sm1 0.0000 0.0680 0.0000
Tl1 0.0000 0.3667 0.5000
Tl2 0.0000 0.5000 0.5000
```

Peak list (10 most intense, 2θ from 10° to 90°, most intense first)
hkl 1 1 1, 33.40°, intensity 100; hkl 1 7 0, 31.34°, intensity 84; hkl 0 8 1, 34.08°, intensity 67; hkl 0 6 1, 29.96°, intensity 36; hkl 1 15 1, 58.00°, intensity 33; hkl 1 7 2, 58.96°, intensity 28; hkl 2 8 1, 59.24°, intensity 27; hkl 0 4 0, 11.98°, intensity 23; hkl 1 9 0, 35.85°, intensity 21; hkl 2 0 0, 46.91°, intensity 15

***

No. 9
Structure and theoretical powder diffractogram of NaSm2Tl8 (a DFT-relaxed cell (PBE, Alexandria); Cu Ka).

Crystal structure
```
data_NaSm2Tl8
_space_group_name_H-M_alt 'P 4/m m m'
_space_group_IT_number 123
_space_group_name_Hall '-P 4 2'
_cell_length_a 4.9449
_cell_length_b 4.9449
_cell_length_c 12.9328
_cell_angle_alpha 90.00
_cell_angle_beta 90.00
_cell_angle_gamma 90.00
loop_
_atom_site_label
_atom_site_fract_x
_atom_site_fract_y
_atom_site_fract_z
Na1 0.0000 0.0000 0.0000
Sm1 0.0000 0.0000 0.3256
Tl1 0.0000 0.5000 0.1442
Tl2 0.0000 0.5000 0.5000
Tl3 0.5000 0.5000 0.3188
```

Peak list (10 most intense, 2θ from 10° to 90°, most intense first)
hkl 1 1 3, 32.98°, intensity 100; hkl 2 0 0, 36.34°, intensity 42; hkl 3 1 3, 63.26°, intensity 31; hkl 2 0 6, 56.65°, intensity 16; hkl 1 1 2, 29.03°, intensity 16; hkl 2 2 0, 52.33°, intensity 15; hkl 2 0 5, 51.11°, intensity 10; hkl 1 1 8, 63.39°, intensity 10; hkl 0 0 6, 41.91°, intensity 10; hkl 2 2 6, 69.19°, intensity 9

***

No. 10
Structure and theoretical powder diffractogram of NaSmY (a DFT-relaxed cell (PBE, Alexandria); Cu Ka).

Crystal structure
```
data_NaSmY
_space_group_name_H-M_alt 'C 1 2/m 1'
_space_group_IT_number 12
_cell_length_a 21.0490
_cell_length_b 3.5177
_cell_length_c 5.6362
_cell_angle_alpha 90.00
_cell_angle_beta 90.01
_cell_angle_gamma 90.00
loop_
_space_group_symop_operation_xyz
'x,y,z'
'-x,-y,-z'
'-x,y,-z'
'x,-y,z'
'x+1/2,y+1/2,z'
'-x+1/2,-y+1/2,-z'
'-x+1/2,y+1/2,-z'
'x+1/2,-y+1/2,z'
loop_
_atom_site_label
_atom_site_fract_x
_atom_site_fract_y
_atom_site_fract_z
Na1 0.2077 0.0000 0.2491
Sm1 0.1066 0.5000 0.7497
Y1 0.0411 0.0000 0.2504
```

Peak list (10 most intense, 2θ from 10° to 90°, most intense first)
hkl 6 0 -1, 30.00°, intensity 100; hkl 3 1 1, 32.61°, intensity 99; hkl 1 1 1, 30.25°, intensity 72; hkl 5 1 -2, 46.61°, intensity 62; hkl 0 0 2, 31.75°, intensity 57; hkl 5 1 0, 33.19°, intensity 55; hkl 2 0 -1, 17.85°, intensity 50; hkl 3 1 3, 57.15°, intensity 40; hkl 8 0 1, 37.73°, intensity 32; hkl 3 1 0, 28.38°, intensity 27

***

No. 11
Structure and theoretical powder diffractogram of NaSmZn2 (a DFT-relaxed cell (PBE, Alexandria); Cu Ka).

Crystal structure
```
data_NaSmZn2
_space_group_name_H-M_alt 'F m -3 m'
_space_group_IT_number 225
_space_group_name_Hall '-F 4 2 3'
_cell_length_a 7.1192
_cell_length_b 7.1192
_cell_length_c 7.1192
_cell_angle_alpha 90.00
_cell_angle_beta 90.00
_cell_angle_gamma 90.00
loop_
_atom_site_label
_atom_site_fract_x
_atom_site_fract_y
_atom_site_fract_z
Na1 0.0000 0.0000 0.0000
Sm1 0.0000 0.0000 0.5000
Zn1 0.2500 0.2500 0.2500
```

Peak list (10 most intense, 2θ from 10° to 90°, most intense first)
hkl 2 2 0, 35.67°, intensity 100; hkl 1 1 1, 21.62°, intensity 37; hkl 4 2 2, 64.08°, intensity 35; hkl 3 1 1, 42.10°, intensity 20; hkl 4 0 0, 51.34°, intensity 17; hkl 6 2 0, 86.45°, intensity 15; hkl 4 4 0, 75.55°, intensity 10; hkl 3 3 1, 56.33°, intensity 9; hkl 5 3 1, 79.68°, intensity 6; hkl 5 1 1, 68.48°, intensity 6

***

No. 12
Structure and theoretical powder diffractogram of Na3Sn8 (a DFT-relaxed cell (PBE, Alexandria); Cu Ka).

Crystal structure
```
data_Na3Sn8
_space_group_name_H-M_alt 'C 1 2/m 1'
_space_group_IT_number 12
_cell_length_a 10.8142
_cell_length_b 4.5140
_cell_length_c 12.6641
_cell_angle_alpha 90.00
_cell_angle_beta 104.97
_cell_angle_gamma 90.00
loop_
_space_group_symop_operation_xyz
'x,y,z'
'-x,-y,-z'
'-x,y,-z'
'x,-y,z'
'x+1/2,y+1/2,z'
'-x+1/2,-y+1/2,-z'
'-x+1/2,y+1/2,-z'
'x+1/2,-y+1/2,z'
loop_
_atom_site_label
_atom_site_fract_x
_atom_site_fract_y
_atom_site_fract_z
Na1 0.0000 0.0000 0.0000
Na2 0.0832 0.0000 0.6386
Sn1 0.0438 0.5000 0.8211
Sn2 0.1541 0.5000 0.4489
Sn3 0.1829 0.0000 0.2638
Sn4 0.2251 0.5000 0.0834
```

Peak list (10 most intense, 2θ from 10° to 90°, most intense first)
hkl 1 1 3, 32.34°, intensity 100; hkl 3 1 -2, 32.78°, intensity 93; hkl 2 0 -5, 36.30°, intensity 35; hkl 4 0 1, 37.00°, intensity 34; hkl 0 2 0, 39.94°, intensity 29; hkl 1 3 3, 67.74°, intensity 24; hkl 4 2 1, 55.58°, intensity 21; hkl 2 2 -5, 55.07°, intensity 21; hkl 1 1 0, 21.44°, intensity 15; hkl 5 1 4, 63.49°, intensity 14